Entry 1:
Structure and calculated X-ray powder pattern of SmAl5Ga (a cell relaxed with PBE; Cu Kα, 1.54184 Å).
Intensities are scaled so that the largest is 100.

Crystal structure
```
data_SmAl5Ga
_chemical_formula_sum 'Sm2 Al10 Ga2'
_cell_length_a 6.0951
_cell_length_b 6.1321
_cell_length_c 8.2355
_cell_angle_alpha 90.00
_cell_angle_beta 90.00
_cell_angle_gamma 90.00
_space_group_name_H-M_alt 'I m m 2'
_space_group_IT_number 44
loop_
_space_group_symop_operation_xyz
'x,y,z'
'-x,-y,z'
'-x,y,z'
'x,-y,z'
'x+1/2,y+1/2,z+1/2'
'-x+1/2,-y+1/2,z+1/2'
'-x+1/2,y+1/2,z+1/2'
'x+1/2,-y+1/2,z+1/2'
loop_
_atom_site_label
_atom_site_type_symbol
_atom_site_fract_x
_atom_site_fract_y
_atom_site_fract_z
Sm1 Sm 0.0000 0.0000 0.0000
Al1 Al 0.0000 0.0000 0.6212
Al2 Al 0.0000 0.2942 0.3737
Al3 Al 0.2066 0.5000 0.8113
Ga1 Ga 0.0000 0.5000 0.0979
```

The 10 most intense peaks (15° ≤ 2θ ≤ 90°), in order of rising 2θ:
2θ/deg, I (rel.), h k l
18.10, 100.0, 1 0 1
29.13, 35.2, 0 2 0
29.31, 34.5, 2 0 0
29.97, 37.1, 1 1 2
34.51, 70.3, 1 2 1
34.63, 30.1, 2 1 1
35.85, 63.4, 0 1 3
36.69, 27.6, 2 0 2
46.91, 24.9, 2 1 3
47.51, 39.9, 2 2 2

---

Entry 2:
Structure and calculated X-ray powder pattern of Sm2Al3Ga3 (a cell relaxed with PBE; Cu Kα, 1.54184 Å).
Intensities are scaled so that the largest is 100.

Crystal structure
```
data_Sm2Al3Ga3
_chemical_formula_sum 'Sm2 Al3 Ga3'
_cell_length_a 6.4488
_cell_length_b 6.4488
_cell_length_c 4.5119
_cell_angle_alpha 90.00
_cell_angle_beta 90.00
_cell_angle_gamma 120.00
_space_group_name_H-M_alt 'P -6 m 2'
_space_group_IT_number 187
_space_group_name_Hall 'P -6 2'
loop_
_atom_site_label
_atom_site_type_symbol
_atom_site_fract_x
_atom_site_fract_y
_atom_site_fract_z
Sm1 Sm 0.0000 0.0000 0.0000
Sm2 Sm 0.3333 0.6667 0.5000
Al1 Al 0.3813 0.1907 0.5000
Ga1 Ga 0.5221 0.0443 0.0000
```

The 10 most intense peaks (15° ≤ 2θ ≤ 90°), in order of rising 2θ:
2θ/deg, I (rel.), h k l
25.38, 46.2, 1 0 1
27.67, 21.1, 1 1 0
32.05, 29.4, 2 0 0
37.89, 100.0, 2 0 1
39.96, 20.3, 0 0 2
52.12, 14.7, 2 0 2
57.13, 16.6, 2 2 0
70.62, 11.8, 4 0 1
71.21, 15.3, 2 0 3
71.99, 16.5, 2 2 2

---

Entry 3:
Structure and calculated X-ray powder pattern of Sm2Al3Ga3 (a cell relaxed with PBE; Cu Kα, 1.54184 Å).
Intensities are scaled so that the largest is 100.

Crystal structure
```
data_Sm2Al3Ga3
_chemical_formula_sum 'Sm2 Al3 Ga3'
_cell_length_a 6.4393
_cell_length_b 4.5038
_cell_length_c 6.4506
_cell_angle_alpha 90.00
_cell_angle_beta 119.73
_cell_angle_gamma 90.00
_space_group_name_H-M_alt 'P 1 m 1'
_space_group_IT_number 6
loop_
_space_group_symop_operation_xyz
'x,y,z'
'x,-y,z'
loop_
_atom_site_label
_atom_site_type_symbol
_atom_site_fract_x
_atom_site_fract_y
_atom_site_fract_z
Sm1 Sm 0.0000 0.0000 0.0000
Sm2 Sm 0.3327 0.5000 0.6712
Al1 Al 0.3846 0.5000 0.1981
Al2 Al 0.5269 0.0000 0.4737
Al3 Al 0.8084 0.5000 0.1984
Ga1 Ga 0.5238 0.0000 0.0477
Ga2 Ga 0.8077 0.5000 0.6247
Ga3 Ga 0.9548 0.0000 0.4754
```

The 10 most intense peaks (15° ≤ 2θ ≤ 90°), in order of rising 2θ:
2θ/deg, I (rel.), h k l
25.39, 78.4, 0 1 1
27.63, 15.2, 1 0 -2
27.71, 22.0, 2 0 -1
31.98, 27.7, 0 0 2
37.85, 100.0, 2 1 0
37.97, 53.3, 2 1 -2
40.04, 31.6, 0 2 0
49.37, 15.4, 2 2 -1
71.32, 23.3, 2 3 -2
72.08, 17.3, 4 2 -2

---

Entry 4:
Structure and calculated X-ray powder pattern of Zr4AlGa5 (a cell relaxed with PBE; Cu Kα, 1.54184 Å).
Intensities are scaled so that the largest is 100.

Crystal structure
```
data_Zr4AlGa5
_chemical_formula_sum 'Zr4 Al1 Ga5'
_cell_length_a 6.6603
_cell_length_b 6.6603
_cell_length_c 4.1821
_cell_angle_alpha 90.00
_cell_angle_beta 90.00
_cell_angle_gamma 90.00
_space_group_name_H-M_alt 'P 4/m'
_space_group_IT_number 83
loop_
_space_group_symop_operation_xyz
'x,y,z'
'-x,-y,-z'
'-y,x,z'
'y,-x,-z'
'-x,-y,z'
'x,y,-z'
'y,-x,z'
'-y,x,-z'
loop_
_atom_site_label
_atom_site_type_symbol
_atom_site_fract_x
_atom_site_fract_y
_atom_site_fract_z
Zr1 Zr 0.1333 0.6944 0.0000
Al1 Al 0.0000 0.0000 0.5000
Ga1 Ga 0.1786 0.3948 0.5000
Ga2 Ga 0.5000 0.5000 0.0000
```

The 10 most intense peaks (15° ≤ 2θ ≤ 90°), in order of rising 2θ:
2θ/deg, I (rel.), h k l
18.84, 3.5, 1 1 0
21.24, 3.0, 0 0 1
37.05, 100.0, 1 2 1
42.94, 29.0, 3 1 0
43.27, 16.2, 0 0 2
62.35, 7.9, 2 4 0
62.60, 18.3, 3 1 2
74.80, 17.2, 5 0 1
75.26, 11.8, 1 2 3
78.92, 7.8, 2 4 2

---

Entry 5:
Structure and calculated X-ray powder pattern of Gd3Al11 (a cell relaxed with PBE; Cu Kα, 1.54184 Å).
Intensities are scaled so that the largest is 100.

Crystal structure
```
data_Gd3Al11
_chemical_formula_sum 'Gd6 Al22'
_cell_length_a 4.3369
_cell_length_b 9.9023
_cell_length_c 12.8579
_cell_angle_alpha 90.00
_cell_angle_beta 90.00
_cell_angle_gamma 90.00
_space_group_name_H-M_alt 'I m m m'
_space_group_IT_number 71
_space_group_name_Hall '-I 2 2'
loop_
_atom_site_label
_atom_site_type_symbol
_atom_site_fract_x
_atom_site_fract_y
_atom_site_fract_z
Gd1 Gd 0.0000 0.0000 0.0000
Gd2 Gd 0.0000 0.0000 0.3159
Al1 Al 0.0000 0.2102 0.5000
Al2 Al 0.0000 0.2756 0.1359
Al3 Al 0.0000 0.3693 0.3347
Al4 Al 0.0000 0.5000 0.0000
```

The 10 most intense peaks (15° ≤ 2θ ≤ 90°), in order of rising 2θ:
2θ/deg, I (rel.), h k l
17.92, 37.1, 0 2 0
22.38, 52.7, 1 1 0
22.61, 49.6, 0 1 3
29.30, 41.1, 1 0 3
34.14, 41.0, 1 3 0
34.29, 35.3, 0 3 3
34.55, 100.0, 1 2 3
41.65, 23.8, 2 0 0
42.17, 15.8, 0 0 6
55.01, 18.3, 2 3 3

---

Entry 6:
Structure and calculated X-ray powder pattern of GdAl (a cell relaxed with PBE; Cu Kα, 1.54184 Å).
Intensities are scaled so that the largest is 100.

Crystal structure
```
data_GdAl
_chemical_formula_sum 'Gd8 Al8'
_cell_length_a 9.0444
_cell_length_b 7.5151
_cell_length_c 5.6299
_cell_angle_alpha 90.00
_cell_angle_beta 90.00
_cell_angle_gamma 90.00
_space_group_name_H-M_alt 'C m c m'
_space_group_IT_number 63
_space_group_name_Hall '-C 2c 2'
loop_
_atom_site_label
_atom_site_type_symbol
_atom_site_fract_x
_atom_site_fract_y
_atom_site_fract_z
Gd1 Gd 0.1827 0.1557 0.2500
Al1 Al 0.0000 0.1912 0.7500
Al2 Al 0.0000 0.5000 0.0000
```

The 10 most intense peaks (15° ≤ 2θ ≤ 90°), in order of rising 2θ:
2θ/deg, I (rel.), h k l
19.63, 34.0, 2 0 0
22.04, 29.5, 1 1 1
28.56, 89.5, 0 2 1
31.79, 45.1, 0 0 2
31.99, 30.8, 3 1 0
34.90, 63.9, 2 2 1
35.84, 100.0, 3 1 1
37.64, 25.2, 2 0 2
54.67, 30.3, 0 2 3
58.01, 29.1, 3 3 2

---

Entry 7:
Structure and calculated X-ray powder pattern of GdAl3 (a cell relaxed with PBE; Cu Kα, 1.54184 Å).
Intensities are scaled so that the largest is 100.

Crystal structure
```
data_GdAl3
_chemical_formula_sum 'Gd2 Al6'
_cell_length_a 6.3499
_cell_length_b 6.3499
_cell_length_c 4.5937
_cell_angle_alpha 90.00
_cell_angle_beta 90.00
_cell_angle_gamma 120.00
_space_group_name_H-M_alt 'P 63/m m c'
_space_group_IT_number 194
_space_group_name_Hall '-P 6c 2c'
loop_
_atom_site_label
_atom_site_type_symbol
_atom_site_fract_x
_atom_site_fract_y
_atom_site_fract_z
Gd1 Gd 0.3333 0.6667 0.2500
Al1 Al 0.1451 0.2902 0.7500
```

The 10 most intense peaks (15° ≤ 2θ ≤ 90°), in order of rising 2θ:
2θ/deg, I (rel.), h k l
16.12, 25.1, 1 0 0
25.26, 100.0, 1 0 1
28.11, 48.5, 1 1 0
32.57, 25.2, 2 0 0
38.14, 98.7, 2 0 1
39.22, 21.3, 0 0 2
48.05, 25.7, 2 1 1
48.95, 21.5, 1 1 2
64.36, 18.4, 3 1 1
72.36, 18.0, 2 2 2

---

Entry 8:
Structure and calculated X-ray powder pattern of GdAl2 (a cell relaxed with PBE; Cu Kα, 1.54184 Å).
Intensities are scaled so that the largest is 100.

Crystal structure
abc: 7.9151 7.9151 7.9151
angles: 90.00 90.00 90.00
Space group Fd-3m (No. 227, origin choice 2)
Symmetry-distinct sites (fractional):
Gd 0.1250 0.1250 0.1250 [8 per cell]
Al 0.0000 0.0000 0.5000 [16 per cell]

The 10 most intense peaks (15° ≤ 2θ ≤ 90°), in order of rising 2θ:
2θ/deg, I (rel.), h k l
19.42, 62.3, 1 1 1
31.98, 100.0, 2 2 0
37.69, 99.8, 3 1 1
50.24, 16.3, 3 3 1
57.00, 38.8, 4 2 2
60.81, 32.8, 5 1 1
66.87, 21.6, 4 4 0
70.37, 11.9, 5 3 1
76.05, 16.6, 6 2 0
79.39, 11.4, 5 3 3

---

Entry 9:
Structure and calculated X-ray powder pattern of Gd2Al17 (a cell relaxed with PBE; Cu Kα, 1.54184 Å).
Intensities are scaled so that the largest is 100.

Crystal structure
```
data_Gd2Al17
_chemical_formula_sum 'Gd4 Al34'
_cell_length_a 9.4262
_cell_length_b 9.4262
_cell_length_c 9.0251
_cell_angle_alpha 90.00
_cell_angle_beta 90.00
_cell_angle_gamma 120.00
_space_group_name_H-M_alt 'P 63/m m c'
_space_group_IT_number 194
_space_group_name_Hall '-P 6c 2c'
loop_
_atom_site_label
_atom_site_type_symbol
_atom_site_fract_x
_atom_site_fract_y
_atom_site_fract_z
Gd1 Gd 0.0000 0.0000 0.2500
Gd2 Gd 0.3333 0.6667 0.2500
Al1 Al 0.0000 0.5000 0.0000
Al2 Al 0.0379 0.3659 0.7500
Al3 Al 0.1642 0.3284 0.0236
Al4 Al 0.3333 0.6667 0.6024
```

The 10 most intense peaks (15° ≤ 2θ ≤ 90°), in order of rising 2θ:
2θ/deg, I (rel.), h k l
18.83, 46.8, 1 1 0
27.36, 83.7, 1 1 2
30.62, 23.5, 2 1 1
32.92, 52.7, 3 0 0
37.13, 31.6, 2 0 3
38.19, 56.8, 2 2 0
38.64, 100.0, 3 0 2
39.96, 23.8, 0 0 4
55.45, 27.9, 4 1 2
71.67, 23.7, 3 0 6

---

Entry 10:
Structure and calculated X-ray powder pattern of TbGdAl3Ge2 (a cell relaxed with PBE; Cu Kα, 1.54184 Å).
Intensities are scaled so that the largest is 100.

Crystal structure
```
data_TbGdAl3Ge2
_chemical_formula_sum 'Tb2 Gd2 Al6 Ge4'
_cell_length_a 10.3475
_cell_length_b 4.0947
_cell_length_c 6.7801
_cell_angle_alpha 90.00
_cell_angle_beta 100.31
_cell_angle_gamma 90.00
_space_group_name_H-M_alt 'C 1 m 1'
_space_group_IT_number 8
loop_
_space_group_symop_operation_xyz
'x,y,z'
'x,-y,z'
'x+1/2,y+1/2,z'
'x+1/2,-y+1/2,z'
loop_
_atom_site_label
_atom_site_type_symbol
_atom_site_fract_x
_atom_site_fract_y
_atom_site_fract_z
Tb1 Tb 0.0000 0.0000 0.0000
Gd1 Gd 0.2662 0.5000 0.3666
Al1 Al 0.0802 0.0000 0.5594
Al2 Al 0.1859 0.5000 0.8081
Al3 Al 0.3835 0.0000 0.6838
Ge1 Ge 0.2840 0.0000 0.0405
Ge2 Ge 0.4821 0.0000 0.3254
```

The 10 most intense peaks (15° ≤ 2θ ≤ 90°), in order of rising 2θ:
2θ/deg, I (rel.), h k l
26.21, 37.3, 1 1 -1
27.79, 57.5, 1 1 1
34.58, 100.0, 1 1 -2
35.12, 59.1, 3 1 -1
35.26, 35.1, 4 0 0
38.71, 51.3, 3 1 1
40.57, 48.4, 0 0 3
44.24, 37.0, 0 2 0
47.05, 31.3, 3 1 2
61.57, 30.5, 0 2 3

---

Entry 11:
Structure and calculated X-ray powder pattern of GdTmAl3Ge2 (a cell relaxed with PBE; Cu Kα, 1.54184 Å).
Intensities are scaled so that the largest is 100.

Crystal structure
```
data_GdTmAl3Ge2
_chemical_formula_sum 'Gd2 Tm2 Al6 Ge4'
_cell_length_a 10.2674
_cell_length_b 4.0704
_cell_length_c 6.7460
_cell_angle_alpha 90.00
_cell_angle_beta 99.93
_cell_angle_gamma 90.00
_space_group_name_H-M_alt 'C 1 m 1'
_space_group_IT_number 8
loop_
_space_group_symop_operation_xyz
'x,y,z'
'x,-y,z'
'x+1/2,y+1/2,z'
'x+1/2,-y+1/2,z'
loop_
_atom_site_label
_atom_site_type_symbol
_atom_site_fract_x
_atom_site_fract_y
_atom_site_fract_z
Gd1 Gd 0.0000 0.0000 0.0000
Tm1 Tm 0.2333 0.0000 0.6332
Al1 Al 0.1181 0.5000 0.3190
Al2 Al 0.3137 0.0000 0.1946
Al3 Al 0.4189 0.5000 0.4425
Ge1 Ge 0.0168 0.5000 0.6732
Ge2 Ge 0.2164 0.5000 0.9564
```

The 10 most intense peaks (15° ≤ 2θ ≤ 90°), in order of rising 2θ:
2θ/deg, I (rel.), h k l
23.88, 24.7, 2 0 1
26.39, 35.4, 1 1 -1
27.92, 56.6, 1 1 1
34.55, 21.7, 3 1 0
34.80, 100.0, 1 1 -2
35.44, 90.1, 4 0 0
38.88, 48.9, 3 1 1
40.74, 27.3, 0 0 3
44.52, 35.1, 0 2 0
47.20, 30.2, 3 1 2

---

Entry 12:
Structure and calculated X-ray powder pattern of Gd3Al2Ni6H9 (a cell relaxed with PBE; Cu Kα, 1.54184 Å).
Intensities are scaled so that the largest is 100.

Crystal structure
```
data_Gd3Al2Ni6H9
_chemical_formula_sum 'Gd12 Al8 Ni24 H36'
_cell_length_a 9.2051
_cell_length_b 9.2051
_cell_length_c 9.2051
_cell_angle_alpha 90.00
_cell_angle_beta 90.00
_cell_angle_gamma 90.00
_space_group_name_H-M_alt 'I m -3 m'
_space_group_IT_number 229
_space_group_name_Hall '-I 4 2 3'
loop_
_atom_site_label
_atom_site_type_symbol
_atom_site_fract_x
_atom_site_fract_y
_atom_site_fract_z
Gd1 Gd 0.0000 0.0000 0.2707
Al1 Al 0.2500 0.2500 0.2500
Ni1 Ni 0.0000 0.3374 0.3374
H1 H 0.0000 0.0000 0.0000
H2 H 0.0000 0.0000 0.5000
H3 H 0.0000 0.2500 0.5000
H4 H 0.1340 0.1340 0.1340
```

The 10 most intense peaks (15° ≤ 2θ ≤ 90°), in order of rising 2θ:
2θ/deg, I (rel.), h k l
23.68, 13.4, 2 1 1
27.40, 19.0, 2 2 0
30.71, 29.1, 3 1 0
33.73, 40.7, 2 2 2
36.52, 46.4, 3 2 1
39.14, 25.9, 4 0 0
41.63, 100.0, 3 3 0
62.16, 23.5, 5 3 2
67.49, 27.4, 6 2 2
75.97, 14.2, 6 3 3

---

Entry 13:
Structure and calculated X-ray powder pattern of GdY2Mg3Al2Hg (a cell relaxed with PBE; Cu Kα, 1.54184 Å).
Intensities are scaled so that the largest is 100.

Crystal structure
```
data_GdY2Mg3Al2Hg
_chemical_formula_sum 'Gd2 Y4 Mg6 Al4 Hg2'
_cell_length_a 4.5196
_cell_length_b 12.8991
_cell_length_c 7.4165
_cell_angle_alpha 90.00
_cell_angle_beta 90.00
_cell_angle_gamma 90.00
_space_group_name_H-M_alt 'A m m 2'
_space_group_IT_number 38
loop_
_space_group_symop_operation_xyz
'x,y,z'
'-x,-y,z'
'-x,y,z'
'x,-y,z'
'x,y+1/2,z+1/2'
'-x,-y+1/2,z+1/2'
'-x,y+1/2,z+1/2'
'x,-y+1/2,z+1/2'
loop_
_atom_site_label
_atom_site_type_symbol
_atom_site_fract_x
_atom_site_fract_y
_atom_site_fract_z
Gd1 Gd 0.0000 0.0000 0.0000
Y1 Y 0.0000 0.2128 0.3616
Mg1 Mg 0.5000 0.0000 0.3302
Mg2 Mg 0.5000 0.1221 0.6962
Al1 Al 0.5000 0.1671 0.0745
Hg1 Hg 0.0000 0.0000 0.5733
```

The 10 most intense peaks (15° ≤ 2θ ≤ 90°), in order of rising 2θ:
2θ/deg, I (rel.), h k l
19.64, 42.4, 1 0 0
23.96, 15.5, 0 0 2
24.05, 15.3, 1 2 0
27.72, 53.8, 0 4 0
31.16, 31.5, 1 0 2
34.20, 100.0, 1 4 0
39.89, 19.4, 2 0 0
42.17, 23.7, 0 3 3
49.29, 14.4, 2 2 2
66.75, 13.8, 1 1 5